The following is a simulated X-ray diffraction stick pattern of Tb2Tm3Ni2. It was derived from a DFT-relaxed cell (PBE, Alexandria), using Cu Kα (λ = 1.5418 Å).

Structure:
Cell: 12.0689 3.5606 8.9115 Å, 90.00 116.68 90.00°
Space group C2/m (No. 12)
Unique sites:
Tb1 0.1659 0.0000 0.3099 [4 per cell]
Tm1 0.0000 0.5000 0.5000 [2 per cell]
Tm2 0.1160 0.5000 0.9331 [4 per cell]
Ni1 0.1720 0.0000 0.7392 [4 per cell]

Main lines, low angle first (2θ = 10–80°):
2theta  I (rel.)  hkl
29.8  50  4 0 -1
30.1  100  2 0 -3
32.2  68  1 1 -2
33.4  74  2 0 2
33.6  82  3 1 -1
35.5  88  3 1 -2
37.2  45  1 1 2
40.1  29  1 1 -3
51.3  31  0 2 0
57.9  32  0 0 5